Entry 1:
Structure and computed powder XRD pattern of Tb4Pr2Er7 (a crystal structure in Alexandria, relaxed with PBE; Cu Ka).

Cell and atoms:
```
Tb4Pr2Er7
1.0
6.0573 0.0000 0.0000
-3.0287 5.2458 0.0000
0.0000 0.0000 13.3409
Tb Pr Er
4 2 7
direct
0.0000 0.0000 0.1051
0.0000 0.0000 0.8949
0.3333 0.6667 0.0000
0.6667 0.3333 0.0000
0.3333 0.6667 0.5000
0.6667 0.3333 0.5000
0.0000 0.0000 0.5000
0.0000 0.3500 0.7157
0.0000 0.6500 0.2843
0.3500 0.0000 0.7157
0.3500 0.3500 0.2843
0.6500 0.0000 0.2843
0.6500 0.6500 0.7157
```

Peak list (10 most intense, 10 to 90 degrees two-theta, sorted by position)
2θ 26.7, intensity 20; 2θ 30.3, intensity 50; 2θ 32.5, intensity 100; 2θ 33.6, intensity 15; 2θ 35.9, intensity 33; 2θ 40.2, intensity 14; 2θ 51.0, intensity 19; 2θ 52.3, intensity 30; 2θ 62.9, intensity 15; 2θ 63.7, intensity 28

=====

Entry 2:
Structure and computed powder XRD pattern of Tb8PrEr2 (a crystal structure in Alexandria, relaxed with PBE; Cu Ka).

Cell and atoms:
```
Tb8PrEr2
1.0
8.2718 -3.3352 0.0000
8.2718 3.3352 0.0000
-1.1270 0.0000 6.5474
Tb Pr Er
8 1 2
direct
0.0896 0.0896 0.4077
0.1452 0.6742 0.0886
0.2571 0.2571 0.1935
0.3258 0.8548 0.9114
0.6742 0.1452 0.0886
0.7429 0.7429 0.8065
0.8548 0.3258 0.9114
0.9104 0.9104 0.5923
0.5000 0.5000 0.5000
0.2931 0.2931 0.7026
0.7069 0.7069 0.2974
```

Peak list (10 most intense, 10 to 90 degrees two-theta, sorted by position)
2θ 28.9, intensity 29; 2θ 30.1, intensity 72; 2θ 30.5, intensity 59; 2θ 31.1, intensity 100; 2θ 31.5, intensity 32; 2θ 32.0, intensity 29; 2θ 32.3, intensity 72; 2θ 32.9, intensity 74; 2θ 33.0, intensity 34; 2θ 34.8, intensity 35

=====

Entry 3:
Structure and computed powder XRD pattern of Tb12Pr2Er (a crystal structure in Alexandria, relaxed with PBE; Cu Ka).

Cell and atoms:
```
Tb12Pr2Er
1.0
3.5630 -5.6423 0.0000
3.5630 5.6423 0.0000
-1.7602 0.0000 24.5103
Tb Pr Er
24 4 2
direct
0.0495 0.5501 0.1993
0.0816 0.5836 0.3302
0.1359 0.6399 0.5551
0.1440 0.1440 0.5708
0.2158 0.2158 0.8656
0.2320 0.7320 0.9275
0.2680 0.7680 0.0725
0.2840 0.2840 0.1347
0.3597 0.3597 0.4266
0.3601 0.8641 0.4449
0.4164 0.9184 0.6698
0.4499 0.9505 0.8007
0.5501 0.0495 0.1993
0.5836 0.0816 0.3302
0.6399 0.1359 0.5551
0.6403 0.6403 0.5734
0.7160 0.7160 0.8653
0.7320 0.2320 0.9275
0.7680 0.2680 0.0725
0.7842 0.7842 0.1344
0.8560 0.8560 0.4292
0.8641 0.3601 0.4449
0.9184 0.4164 0.6698
0.9505 0.4499 0.8007
0.0695 0.0695 0.2724
0.4329 0.4329 0.7282
0.5671 0.5671 0.2718
0.9305 0.9305 0.7276
0.2500 0.2500 0.0002
0.7500 0.7500 0.9998
```

Peak list (10 most intense, 10 to 90 degrees two-theta, sorted by position)
2θ 30.0, intensity 89; 2θ 30.2, intensity 53; 2θ 31.1, intensity 70; 2θ 31.7, intensity 100; 2θ 32.2, intensity 49; 2θ 32.3, intensity 85; 2θ 33.3, intensity 56; 2θ 45.8, intensity 37; 2θ 59.4, intensity 28; 2θ 61.6, intensity 30

=====

Entry 4:
Structure and computed powder XRD pattern of Tb12Pr3Er (a crystal structure in Alexandria, relaxed with PBE; Cu Ka).

Cell and atoms:
```
Tb12Pr3Er
1.0
5.0697 0.0000 0.0000
0.0000 5.0697 0.0000
0.0000 0.0000 20.2811
Tb Pr Er
12 3 1
direct
0.0000 0.0000 0.0000
0.0000 0.0000 0.2480
0.0000 0.0000 0.5000
0.0000 0.0000 0.7520
0.0000 0.5000 0.1225
0.0000 0.5000 0.3741
0.0000 0.5000 0.6259
0.0000 0.5000 0.8775
0.5000 0.0000 0.1225
0.5000 0.0000 0.3741
0.5000 0.0000 0.6259
0.5000 0.0000 0.8775
0.5000 0.5000 0.2487
0.5000 0.5000 0.5000
0.5000 0.5000 0.7513
0.5000 0.5000 0.0000
```

Peak list (8 most intense, 10 to 90 degrees two-theta, sorted by position)
2θ 30.5, intensity 100; 2θ 35.4, intensity 51; 2θ 50.9, intensity 36; 2θ 60.6, intensity 43; 2θ 63.6, intensity 12; 2θ 74.9, intensity 6; 2θ 83.0, intensity 18; 2θ 85.7, intensity 16

=====

Entry 5:
Structure and computed powder XRD pattern of Tb16Pr6Er7 (a crystal structure in Alexandria, relaxed with PBE; Cu Ka).

Cell and atoms:
```
Tb16Pr6Er7
1.0
0.0000 7.9197 7.9197
7.9197 0.0000 7.9197
7.9197 7.9197 0.0000
Tb Pr Er
16 6 7
direct
0.0446 0.6518 0.6518
0.1259 0.1259 0.1259
0.1259 0.1259 0.6222
0.1259 0.6222 0.1259
0.3482 0.3482 0.3482
0.3482 0.3482 0.9554
0.3482 0.9554 0.3482
0.3778 0.8741 0.8741
0.6222 0.1259 0.1259
0.6518 0.0446 0.6518
0.6518 0.6518 0.0446
0.6518 0.6518 0.6518
0.8741 0.3778 0.8741
0.8741 0.8741 0.3778
0.8741 0.8741 0.8741
0.9554 0.3482 0.3482
0.2739 0.2739 0.7261
0.2739 0.7261 0.2739
0.2739 0.7261 0.7261
0.7261 0.2739 0.2739
0.7261 0.2739 0.7261
0.7261 0.7261 0.2739
0.0000 0.0000 0.0000
0.0000 0.0000 0.5000
0.0000 0.5000 0.0000
0.0000 0.5000 0.5000
0.5000 0.0000 0.0000
0.5000 0.0000 0.5000
0.5000 0.5000 0.0000
```

Peak list (10 most intense, 10 to 90 degrees two-theta, sorted by position)
2θ 27.6, intensity 6; 2θ 29.3, intensity 13; 2θ 32.0, intensity 100; 2θ 33.5, intensity 6; 2θ 43.9, intensity 6; 2θ 45.8, intensity 14; 2θ 57.0, intensity 25; 2θ 60.5, intensity 6; 2θ 66.8, intensity 7; 2θ 76.0, intensity 6

=====

Entry 6:
Structure and computed powder XRD pattern of Tb3Pr2Er6Tm (a crystal structure in Alexandria, relaxed with PBE; Cu Ka).

Cell and atoms:
```
Tb3Pr2Er6Tm
1.0
3.0783 -5.3274 0.0000
3.0783 5.3274 0.0000
-2.0453 0.0000 11.5641
Tb Pr Er Tm
3 2 6 1
direct
0.0000 0.0000 0.0000
0.3335 0.6665 0.0000
0.6665 0.3335 0.0000
0.1665 0.8335 0.5000
0.8335 0.1665 0.5000
0.0835 0.4157 0.2478
0.2522 0.2522 0.7525
0.4157 0.0835 0.2478
0.5843 0.9165 0.7522
0.7478 0.7478 0.2475
0.9165 0.5843 0.7522
0.5000 0.5000 0.5000
```

Peak list (10 most intense, 10 to 90 degrees two-theta, sorted by position)
2θ 30.8, intensity 100; 2θ 30.9, intensity 33; 2θ 35.8, intensity 67; 2θ 51.4, intensity 24; 2θ 51.6, intensity 24; 2θ 61.2, intensity 33; 2θ 61.3, intensity 14; 2θ 64.2, intensity 12; 2θ 83.9, intensity 12; 2θ 86.7, intensity 11

=====

Entry 7:
Structure and computed powder XRD pattern of Tb2Pr4ErTm2 (a crystal structure in Alexandria, relaxed with PBE; Cu Ka).

Cell and atoms:
```
Tb2Pr4ErTm2
1.0
7.6730 -2.5531 0.0000
7.6730 2.5531 0.0000
-2.5540 0.0000 7.6287
Tb Pr Er Tm
2 4 1 2
direct
0.1116 0.1116 0.1711
0.8884 0.8884 0.8289
0.2228 0.2228 0.8302
0.4464 0.4464 0.1704
0.5536 0.5536 0.8296
0.7772 0.7772 0.1698
0.0000 0.0000 0.5000
0.3326 0.3326 0.5004
0.6674 0.6674 0.4996
```

Peak list (10 most intense, 10 to 90 degrees two-theta, sorted by position)
2θ 30.3, intensity 100; 2θ 35.1, intensity 34; 2θ 35.3, intensity 17; 2θ 50.5, intensity 18; 2θ 50.7, intensity 18; 2θ 60.1, intensity 29; 2θ 60.3, intensity 14; 2θ 63.1, intensity 12; 2θ 82.2, intensity 6; 2θ 82.4, intensity 9

=====

Entry 8:
Structure and computed powder XRD pattern of Tb2PrErTm5 (a crystal structure in Alexandria, relaxed with PBE; Cu Ka).

Cell and atoms:
```
Tb2PrErTm5
1.0
-4.4293 4.4293 7.3071
4.4293 -4.4293 7.3071
4.4293 4.4293 -7.3071
Tb Pr Er Tm
4 2 2 10
direct
0.1131 0.6131 0.7262
0.3869 0.1131 0.5000
0.6131 0.8869 0.5000
0.8869 0.3869 0.2738
0.2500 0.2500 0.0000
0.7500 0.7500 0.0000
0.2500 0.7500 0.5000
0.7500 0.2500 0.5000
0.0000 0.0000 0.0000
0.0735 0.1614 0.5000
0.1614 0.6614 0.0879
0.3386 0.4265 0.5000
0.4265 0.9265 0.0879
0.5000 0.5000 0.0000
0.5735 0.0735 0.9121
0.6614 0.5735 0.5000
0.8386 0.3386 0.9121
0.9265 0.8386 0.5000
```

Peak list (10 most intense, 10 to 90 degrees two-theta, sorted by position)
2θ 28.5, intensity 53; 2θ 29.1, intensity 48; 2θ 31.7, intensity 100; 2θ 31.9, intensity 14; 2θ 34.3, intensity 13; 2θ 37.1, intensity 20; 2θ 38.3, intensity 15; 2θ 42.5, intensity 16; 2θ 52.6, intensity 19; 2θ 58.5, intensity 13

=====

Entry 9:
Structure and computed powder XRD pattern of Tb2PrErTm (a crystal structure in Alexandria, relaxed with PBE; Cu Ka).

Cell and atoms:
```
Tb2PrErTm
1.0
4.1968 -5.7424 0.0000
4.1968 5.7424 0.0000
0.0000 0.0000 7.2120
Tb Pr Er Tm
4 2 2 2
direct
0.1913 0.1913 0.0000
0.1913 0.1913 0.5000
0.8087 0.8087 0.0000
0.8087 0.8087 0.5000
0.2298 0.7702 0.7500
0.7702 0.2298 0.2500
0.4989 0.5011 0.2500
0.5011 0.4989 0.7500
0.2217 0.7783 0.2500
0.7783 0.2217 0.7500
```

Peak list (10 most intense, 10 to 90 degrees two-theta, sorted by position)
2θ 26.3, intensity 46; 2θ 28.0, intensity 32; 2θ 29.2, intensity 53; 2θ 31.2, intensity 61; 2θ 32.7, intensity 100; 2θ 33.0, intensity 31; 2θ 35.8, intensity 54; 2θ 39.9, intensity 40; 2θ 45.8, intensity 66; 2θ 66.0, intensity 33

=====

Entry 10:
Structure and computed powder XRD pattern of Tb2PrEr2Tm (a crystal structure in Alexandria, relaxed with PBE; Cu Ka).

Cell and atoms:
```
Tb2PrEr2Tm
1.0
6.9091 0.0000 0.0000
0.0000 16.1192 0.0000
0.0000 0.0000 3.5080
Tb Pr Er Tm
4 2 4 2
direct
0.2482 0.1586 0.0000
0.2518 0.6586 0.5000
0.7482 0.3414 0.5000
0.7518 0.8414 0.0000
0.0000 0.5000 0.0000
0.5000 0.0000 0.5000
0.2499 0.3447 0.5000
0.2501 0.8447 0.0000
0.7499 0.1553 0.0000
0.7501 0.6553 0.5000
0.0000 0.0000 0.5000
0.5000 0.5000 0.0000
```

Peak list (10 most intense, 10 to 90 degrees two-theta, sorted by position)
2θ 28.1, intensity 43; 2θ 30.4, intensity 100; 2θ 33.4, intensity 37; 2θ 34.2, intensity 47; 2θ 36.9, intensity 59; 2θ 46.4, intensity 14; 2θ 54.6, intensity 30; 2θ 57.8, intensity 14; 2θ 62.4, intensity 26; 2θ 63.8, intensity 16

=====

Entry 11:
Structure and computed powder XRD pattern of TbPr2ErTm (a crystal structure in Alexandria, relaxed with PBE; Cu Ka).

Cell and atoms:
```
TbPr2ErTm
1.0
4.2135 -5.7719 0.0000
4.2135 5.7719 0.0000
0.0000 0.0000 7.3050
Tb Pr Er Tm
2 4 2 2
direct
0.0219 0.9781 0.7500
0.9781 0.0219 0.2500
0.3063 0.3063 0.0000
0.3063 0.3063 0.5000
0.6937 0.6937 0.0000
0.6937 0.6937 0.5000
0.2605 0.7395 0.2500
0.7395 0.2605 0.7500
0.2859 0.7141 0.7500
0.7141 0.2859 0.2500
```

Peak list (10 most intense, 10 to 90 degrees two-theta, sorted by position)
2θ 26.2, intensity 50; 2θ 27.7, intensity 26; 2θ 28.9, intensity 54; 2θ 31.0, intensity 52; 2θ 32.4, intensity 100; 2θ 35.5, intensity 46; 2θ 39.7, intensity 41; 2θ 45.5, intensity 59; 2θ 50.0, intensity 30; 2θ 65.6, intensity 40

=====

Entry 12:
Structure and computed powder XRD pattern of Tb2PrY2Er2 (a crystal structure in Alexandria, relaxed with PBE; Cu Ka).

Cell and atoms:
```
Tb2PrY2Er2
1.0
5.6025 -1.7187 0.0000
5.6025 1.7187 0.0000
-3.0202 0.0000 12.1200
Tb Pr Y Er
2 1 2 2
direct
0.1561 0.1561 0.0707
0.8439 0.8439 0.9293
0.0000 0.0000 0.5000
0.2314 0.2314 0.3584
0.7686 0.7686 0.6416
0.0818 0.0818 0.7870
0.9182 0.9182 0.2130
```

Peak list (10 most intense, 10 to 90 degrees two-theta, sorted by position)
2θ 27.2, intensity 100; 2θ 30.1, intensity 91; 2θ 30.6, intensity 86; 2θ 32.0, intensity 72; 2θ 35.5, intensity 83; 2θ 36.5, intensity 62; 2θ 39.0, intensity 51; 2θ 55.1, intensity 28; 2θ 56.3, intensity 26; 2θ 62.4, intensity 32